# 1
Diffraction record for K2PdBrCl3. The PXRD pattern is theoretical, not measured: it uses a structure optimized by DFT (PBE) and Cu Kα (weighted mean of Kα1 and Kα2).
Intensities are scaled so that the largest is 1000.

Structure:
a = 4.2624 Å, b = 10.3222 Å, c = 10.2686 Å
α = 90.00°, β = 90.00°, γ = 90.00°
Fractional coordinates of all 14 atoms:
K  0.0000  0.2434  0.0000
K  0.0000  0.2566  0.5000
K  0.0000  0.7434  0.5000
K  0.0000  0.7566  0.0000
Pd  0.5000  0.0000  0.2481
Pd  0.5000  0.5000  0.7481
Br  0.5000  0.0000  0.4868
Br  0.5000  0.5000  0.9868
Cl  0.5000  0.0000  0.0194
Cl  0.5000  0.2262  0.2484
Cl  0.5000  0.2738  0.7484
Cl  0.5000  0.5000  0.5194
Cl  0.5000  0.7262  0.7484
Cl  0.5000  0.7738  0.2484

Largest 10 diffraction maxima, by angle, 5 to 70 degrees two-theta:
12.16°, I 1000; 20.84°, I 381; 24.20°, I 418; 27.15°, I 643; 32.34°, I 255; 34.76°, I 278; 34.95°, I 281; 42.41°, I 164; 44.80°, I 212; 50.11°, I 263

---

# 2
Diffraction record for K2SBrCl6. The PXRD pattern is theoretical, not measured: it uses a structure optimized by DFT (PBE) and Cu Kα (weighted mean of Kα1 and Kα2).
Intensities are scaled so that the largest is 1000.

Structure:
a = 7.4860 Å, b = 7.4860 Å, c = 7.4860 Å
α = 60.00°, β = 60.00°, γ = 60.00°
Fractional coordinates of all 10 atoms:
K  0.2500  0.2500  0.2500
K  0.7500  0.7500  0.7500
S  0.0000  0.0000  0.0000
Br  0.5000  0.5000  0.5000
Cl  0.2205  0.2205  0.7795
Cl  0.2205  0.7795  0.2205
Cl  0.2205  0.7795  0.7795
Cl  0.7795  0.2205  0.2205
Cl  0.7795  0.2205  0.7795
Cl  0.7795  0.7795  0.2205

Largest 10 diffraction maxima, by angle, 5 to 70 degrees two-theta:
16.75°, I 510; 23.77°, I 606; 27.95°, I 155; 29.22°, I 380; 33.87°, I 1000; 37.01°, I 248; 41.80°, I 191; 48.65°, I 578; 54.84°, I 170; 60.60°, I 170

---

# 3
Diffraction record for La2BrClO2. The PXRD pattern is theoretical, not measured: it uses a structure optimized by DFT (PBE) and Cu Kα (weighted mean of Kα1 and Kα2).
Intensities are scaled so that the largest is 1000.

Structure:
a = 4.1431 Å, b = 4.1431 Å, c = 7.3054 Å
α = 90.00°, β = 90.00°, γ = 90.00°
Fractional coordinates of all 6 atoms:
La  0.0000  0.0000  0.0000
La  0.5000  0.5000  0.3315
Br  0.0000  0.0000  0.5405
Cl  0.5000  0.5000  0.8109
O  0.0000  0.5000  0.1671
O  0.5000  0.0000  0.1671

Largest 10 diffraction maxima, by angle, 5 to 70 degrees two-theta:
12.12°, I 195; 24.70°, I 373; 30.51°, I 607; 32.68°, I 1000; 39.43°, I 156; 43.70°, I 311; 48.62°, I 124; 50.84°, I 112; 54.94°, I 117; 55.62°, I 425

---

# 4
Diffraction record for La4Br3ClO4. The PXRD pattern is theoretical, not measured: it uses a structure optimized by DFT (PBE) and Cu Kα (weighted mean of Kα1 and Kα2).
Intensities are scaled so that the largest is 1000.

Structure:
a = 4.1585 Å, b = 8.5298 Å, c = 8.5298 Å
α = 58.37°, β = 90.00°, γ = 90.00°
Fractional coordinates of all 12 atoms:
La  0.0000  0.9998  0.9998
La  0.0000  0.5000  0.5000
La  0.5000  0.4091  0.9132
La  0.5000  0.9132  0.4091
Br  0.0000  0.7620  0.7620
Br  0.5000  0.1487  0.6435
Br  0.5000  0.6435  0.1487
Cl  0.0000  0.2574  0.2574
O  0.0000  0.3291  0.8311
O  0.0000  0.8311  0.3291
O  0.5000  0.0800  0.0800
O  0.5000  0.5802  0.5802

Largest 10 diffraction maxima, by angle, 5 to 70 degrees two-theta:
11.88°, I 137; 24.52°, I 216; 30.39°, I 570; 32.27°, I 1000; 39.03°, I 118; 43.52°, I 289; 53.96°, I 98; 55.20°, I 423; 58.69°, I 129; 63.24°, I 91

---

# 5
Diffraction record for PtRhBr6N5Cl. The PXRD pattern is theoretical, not measured: it uses a structure optimized by DFT (PBE) and Cu Kα (weighted mean of Kα1 and Kα2).
Intensities are scaled so that the largest is 1000.

Structure:
a = 9.2770 Å, b = 9.5213 Å, c = 17.3296 Å
α = 90.00°, β = 94.35°, γ = 90.00°
Fractional coordinates of all 56 atoms:
Pt  0.1321  0.2500  0.1683
Pt  0.3377  0.2500  0.6566
Pt  0.6623  0.7500  0.3434
Pt  0.8679  0.7500  0.8317
Rh  0.2074  0.7500  0.4197
Rh  0.3312  0.7500  0.8952
Rh  0.6688  0.2500  0.1048
Rh  0.7926  0.2500  0.5803
Br  0.0437  0.7500  0.9506
Br  0.1015  0.7500  0.7424
Br  0.1091  0.0857  0.6216
Br  0.1091  0.4143  0.6216
Br  0.1372  0.5099  0.1579
Br  0.1372  0.9901  0.1579
Br  0.2717  0.2500  0.7907
Br  0.2973  0.2500  0.2849
Br  0.3720  0.2500  0.0757
Br  0.4275  0.2500  0.5224
Br  0.4322  0.5871  0.3062
Br  0.4322  0.9129  0.3062
Br  0.5678  0.0871  0.6938
Br  0.5678  0.4129  0.6938
Br  0.5725  0.7500  0.4776
Br  0.6280  0.7500  0.9243
Br  0.7027  0.7500  0.7151
Br  0.7283  0.7500  0.2093
Br  0.8628  0.0099  0.8421
Br  0.8628  0.4901  0.8421
Br  0.8909  0.5857  0.3784
Br  0.8909  0.9143  0.3784
Br  0.8985  0.2500  0.2576
Br  0.9563  0.2500  0.0494
N  0.0044  0.2500  0.6541
N  0.1409  0.5592  0.3971
N  0.1409  0.9408  0.3971
N  0.1751  0.6081  0.9251
N  0.1751  0.8919  0.9251
N  0.2853  0.7500  0.7879
N  0.3029  0.7500  0.3147
N  0.3645  0.7500  0.4910
N  0.4974  0.6116  0.9025
N  0.4974  0.8884  0.9025
N  0.5026  0.1116  0.0975
N  0.5026  0.3883  0.0975
N  0.6355  0.2500  0.5090
N  0.6971  0.2500  0.6853
N  0.7147  0.2500  0.2121
N  0.8249  0.1081  0.0749
N  0.8249  0.3919  0.0749
N  0.8591  0.0592  0.6029
N  0.8591  0.4408  0.6029
N  0.9956  0.7500  0.3459
Cl  0.0707  0.7500  0.5355
Cl  0.3587  0.7500  0.0368
Cl  0.6413  0.2500  0.9632
Cl  0.9293  0.2500  0.4645

Largest 10 diffraction maxima, by angle, 5 to 70 degrees two-theta:
13.84°, I 1000; 14.04°, I 115; 14.56°, I 85; 18.64°, I 335; 26.86°, I 83; 29.35°, I 141; 34.89°, I 100; 37.79°, I 93; 38.20°, I 86; 42.27°, I 123

---

# 6
Diffraction record for Sr4BrN2Cl. The PXRD pattern is theoretical, not measured: it uses a structure optimized by DFT (PBE) and Cu Kα (weighted mean of Kα1 and Kα2).
Intensities are scaled so that the largest is 1000.

Structure:
a = 14.7144 Å, b = 14.7144 Å, c = 14.7144 Å
α = 15.37°, β = 15.37°, γ = 15.37°
Fractional coordinates of all 8 atoms:
Sr  0.1125  0.1125  0.1125
Sr  0.3841  0.3841  0.3841
Sr  0.6159  0.6159  0.6159
Sr  0.8875  0.8875  0.8875
Br  0.5000  0.5000  0.5000
N  0.2517  0.2517  0.2517
N  0.7483  0.7483  0.7483
Cl  0.0000  0.0000  0.0000

Largest 10 diffraction maxima, by angle, 5 to 70 degrees two-theta:
26.47°, I 142; 27.42°, I 249; 30.94°, I 1000; 33.36°, I 392; 37.10°, I 175; 42.46°, I 190; 46.13°, I 393; 56.58°, I 167; 60.62°, I 249; 61.62°, I 123